Entry 1:
Structure and computed XRD peak list of Ag2C2N (the GGA-PBE geometry in Alexandria; Cu Kα (weighted mean of Kα1 and Kα2)).
Neutral-atom scattering factors, no anomalous dispersion.

Top 8 peaks for 10 to 90 degrees two-theta, in order of rising 2θ:
d_spacing	I/Imax
3.808	100
3.057	70
2.734	46
2.384	94
2.221	38
2.161	33
1.880	37
1.382	29

Crystal structure
```
data_Ag2C2N
_chemical_formula_sum 'Ag4 C4 N2'
_symmetry_space_group_name_H-M 'P 1'
_symmetry_Int_Tables_number 1
_cell_length_a 6.1130
_cell_length_b 6.1130
_cell_length_c 3.8084
_cell_angle_alpha 90.00
_cell_angle_beta 90.00
_cell_angle_gamma 90.00
loop_
_symmetry_equiv_pos_as_xyz
'x,y,z'
loop_
_atom_site_label
_atom_site_type_symbol
_atom_site_fract_x
_atom_site_fract_y
_atom_site_fract_z
Ag1 Ag 0.2099 0.2901 0.0000
Ag2 Ag 0.2901 0.7901 0.0000
Ag3 Ag 0.7099 0.2099 0.0000
Ag4 Ag 0.7901 0.7099 0.0000
C1 C 0.0740 0.4260 0.5000
C2 C 0.4260 0.9260 0.5000
C3 C 0.5740 0.0740 0.5000
C4 C 0.9260 0.5740 0.5000
N1 N 0.0000 0.0000 0.0000
N2 N 0.5000 0.5000 0.0000
```

***

Entry 2:
Structure and computed XRD peak list of Pr2ThGa3Pt4 (the GGA-PBE geometry in Alexandria; Cu Kα (weighted mean of Kα1 and Kα2)).
Neutral-atom scattering factors, no anomalous dispersion.

Top 8 peaks for 10 to 90 degrees two-theta, in order of rising 2θ:
d_spacing	I/Imax
3.463	19
2.840	19
2.729	100
2.351	16
2.217	53
2.077	31
1.568	18
1.359	24

Crystal structure
```
data_Pr2ThGa3Pt4
_chemical_formula_sum 'Pr2 Th1 Ga3 Pt4'
_symmetry_space_group_name_H-M 'P 1'
_symmetry_Int_Tables_number 1
_cell_length_a 4.4343
_cell_length_b 4.4343
_cell_length_c 11.0910
_cell_angle_alpha 90.00
_cell_angle_beta 90.00
_cell_angle_gamma 90.00
loop_
_symmetry_equiv_pos_as_xyz
'x,y,z'
loop_
_atom_site_label
_atom_site_type_symbol
_atom_site_fract_x
_atom_site_fract_y
_atom_site_fract_z
Pr1 Pr 0.0000 0.5000 0.2191
Pr2 Pr 0.5000 0.0000 0.7809
Th1 Th 0.0000 0.0000 0.5000
Ga1 Ga 0.0000 0.5000 0.8829
Ga2 Ga 0.5000 0.0000 0.1171
Ga3 Ga 0.5000 0.5000 0.5000
Pt1 Pt 0.0000 0.0000 0.0000
Pt2 Pt 0.0000 0.5000 0.6576
Pt3 Pt 0.5000 0.0000 0.3424
Pt4 Pt 0.5000 0.5000 0.0000
```

***

Entry 3:
Structure and computed XRD peak list of LaPm3Pt3 (the GGA-PBE geometry in Alexandria; Cu Kα (weighted mean of Kα1 and Kα2)).
Neutral-atom scattering factors, no anomalous dispersion.

Top 8 peaks for 10 to 90 degrees two-theta, in order of rising 2θ:
d_spacing	I/Imax
2.961	100
2.933	49
2.094	37
2.084	75
1.704	39
1.322	17
1.314	17
1.207	24

Crystal structure
```
data_LaPm3Pt3
_chemical_formula_sum 'La4 Pm12 Pt12'
_symmetry_space_group_name_H-M 'P 1'
_symmetry_Int_Tables_number 1
_cell_length_a 11.8456
_cell_length_b 11.8456
_cell_length_c 5.8665
_cell_angle_alpha 90.00
_cell_angle_beta 90.00
_cell_angle_gamma 90.00
loop_
_symmetry_equiv_pos_as_xyz
'x,y,z'
loop_
_atom_site_label
_atom_site_type_symbol
_atom_site_fract_x
_atom_site_fract_y
_atom_site_fract_z
La1 La 0.1275 0.1275 0.0000
La2 La 0.3725 0.6275 0.5000
La3 La 0.6275 0.3725 0.5000
La4 La 0.8725 0.8725 0.0000
Pm1 Pm 0.1156 0.6284 0.0000
Pm2 Pm 0.1284 0.3844 0.5000
Pm3 Pm 0.1305 0.8695 0.5000
Pm4 Pm 0.3695 0.3695 0.0000
Pm5 Pm 0.3716 0.8844 0.0000
Pm6 Pm 0.3844 0.1284 0.5000
Pm7 Pm 0.6156 0.8716 0.5000
Pm8 Pm 0.6284 0.1156 0.0000
Pm9 Pm 0.6305 0.6305 0.0000
Pm10 Pm 0.8695 0.1305 0.5000
Pm11 Pm 0.8716 0.6156 0.5000
Pm12 Pm 0.8844 0.3716 0.0000
Pt1 Pt 0.1207 0.8793 0.0000
Pt2 Pt 0.1234 0.6283 0.5000
Pt3 Pt 0.1283 0.3766 0.0000
Pt4 Pt 0.3717 0.8766 0.5000
Pt5 Pt 0.3766 0.1283 0.0000
Pt6 Pt 0.3793 0.3793 0.5000
Pt7 Pt 0.6207 0.6207 0.5000
Pt8 Pt 0.6234 0.8717 0.0000
Pt9 Pt 0.6283 0.1234 0.5000
Pt10 Pt 0.8717 0.6234 0.0000
Pt11 Pt 0.8766 0.3717 0.5000
Pt12 Pt 0.8793 0.1207 0.0000
```

***

Entry 4:
Structure and computed XRD peak list of Dy2Ho5Er6 (the GGA-PBE geometry in Alexandria; Cu Kα (weighted mean of Kα1 and Kα2)).
Neutral-atom scattering factors, no anomalous dispersion.

Top 8 peaks for 10 to 90 degrees two-theta, in order of rising 2θ:
d_spacing	I/Imax
3.199	29
2.845	59
2.798	52
2.768	97
2.743	100
2.578	37
2.420	34
1.489	32

Crystal structure
```
data_Dy2Ho5Er6
_chemical_formula_sum 'Dy4 Ho10 Er12'
_symmetry_space_group_name_H-M 'P 1'
_symmetry_Int_Tables_number 1
_cell_length_a 11.4981
_cell_length_b 19.9765
_cell_length_c 3.5335
_cell_angle_alpha 90.00
_cell_angle_beta 90.00
_cell_angle_gamma 90.00
loop_
_symmetry_equiv_pos_as_xyz
'x,y,z'
loop_
_atom_site_label
_atom_site_type_symbol
_atom_site_fract_x
_atom_site_fract_y
_atom_site_fract_z
Dy1 Dy 0.1671 0.2103 0.0000
Dy2 Dy 0.3329 0.7103 0.0000
Dy3 Dy 0.6671 0.2897 0.0000
Dy4 Dy 0.8329 0.7897 0.0000
Ho1 Ho 0.0000 0.5000 0.5000
Ho2 Ho 0.0898 0.7734 0.5000
Ho3 Ho 0.1985 0.0499 0.5000
Ho4 Ho 0.3015 0.5499 0.5000
Ho5 Ho 0.4102 0.2734 0.5000
Ho6 Ho 0.5000 0.0000 0.5000
Ho7 Ho 0.5898 0.7266 0.5000
Ho8 Ho 0.6985 0.4501 0.5000
Ho9 Ho 0.8015 0.9501 0.5000
Ho10 Ho 0.9102 0.2266 0.5000
Er1 Er 0.0591 0.9192 0.0000
Er2 Er 0.0829 0.6314 0.0000
Er3 Er 0.1733 0.3653 0.5000
Er4 Er 0.3267 0.8653 0.5000
Er5 Er 0.4171 0.1314 0.0000
Er6 Er 0.4409 0.4192 0.0000
Er7 Er 0.5591 0.5808 0.0000
Er8 Er 0.5829 0.8686 0.0000
Er9 Er 0.6733 0.1347 0.5000
Er10 Er 0.8267 0.6347 0.5000
Er11 Er 0.9171 0.3686 0.0000
Er12 Er 0.9409 0.0808 0.0000
```

***

Entry 5:
Structure and computed XRD peak list of TaCr2Re (the GGA-PBE geometry in Alexandria; Cu Kα (weighted mean of Kα1 and Kα2)).
Neutral-atom scattering factors, no anomalous dispersion.

Top 8 peaks for 10 to 90 degrees two-theta, in order of rising 2θ:
d_spacing	I/Imax
8.434	67
2.811	17
2.409	28
2.204	27
2.159	100
2.109	21
1.524	15
1.264	17

Crystal structure
```
data_TaCr2Re
_chemical_formula_sum 'Ta1 Cr2 Re1'
_symmetry_space_group_name_H-M 'P 1'
_symmetry_Int_Tables_number 1
_cell_length_a 2.6832
_cell_length_b 2.6832
_cell_length_c 8.4343
_cell_angle_alpha 90.00
_cell_angle_beta 90.00
_cell_angle_gamma 110.46
loop_
_symmetry_equiv_pos_as_xyz
'x,y,z'
loop_
_atom_site_label
_atom_site_type_symbol
_atom_site_fract_x
_atom_site_fract_y
_atom_site_fract_z
Ta1 Ta 0.0000 0.0000 0.0000
Cr1 Cr 0.0000 0.0000 0.5220
Cr2 Cr 0.5000 0.5000 0.7400
Re1 Re 0.5000 0.5000 0.2769
```

***

Entry 6:
Structure and computed XRD peak list of KBeCuO2 (the GGA-PBE geometry in Alexandria; Cu Kα (weighted mean of Kα1 and Kα2)).
Neutral-atom scattering factors, no anomalous dispersion.

Top 8 peaks for 10 to 90 degrees two-theta, in order of rising 2θ:
d_spacing	I/Imax
5.734	59
4.022	31
3.293	40
3.098	30
2.867	39
2.795	100
2.454	26
2.313	32

Crystal structure
```
data_KBeCuO2
_chemical_formula_sum 'K2 Be2 Cu2 O4'
_symmetry_space_group_name_H-M 'P 1'
_symmetry_Int_Tables_number 1
_cell_length_a 5.8214
_cell_length_b 4.0220
_cell_length_c 6.2906
_cell_angle_alpha 90.00
_cell_angle_beta 99.96
_cell_angle_gamma 90.00
loop_
_symmetry_equiv_pos_as_xyz
'x,y,z'
loop_
_atom_site_label
_atom_site_type_symbol
_atom_site_fract_x
_atom_site_fract_y
_atom_site_fract_z
K1 K 0.0000 0.2480 0.2500
K2 K 0.0000 0.7520 0.7500
Be1 Be 0.5000 0.0000 0.0000
Be2 Be 0.5000 0.0000 0.5000
Cu1 Cu 0.5000 0.4196 0.7500
Cu2 Cu 0.5000 0.5804 0.2500
O1 O 0.3122 0.2519 0.9624
O2 O 0.3122 0.7481 0.4624
O3 O 0.6878 0.2519 0.5376
O4 O 0.6878 0.7481 0.0376
```

***

Entry 7:
Structure and computed XRD peak list of Pm6TlCu2 (the GGA-PBE geometry in Alexandria; Cu Kα (weighted mean of Kα1 and Kα2)).
Neutral-atom scattering factors, no anomalous dispersion.

Top 8 peaks for 10 to 90 degrees two-theta, in order of rising 2θ:
d_spacing	I/Imax
3.045	27
2.915	100
2.745	58
2.735	28
2.686	29
2.644	18
2.391	20
1.591	25

Crystal structure
```
data_Pm6TlCu2
_chemical_formula_sum 'Pm12 Tl2 Cu4'
_symmetry_space_group_name_H-M 'P 1'
_symmetry_Int_Tables_number 1
_cell_length_a 8.7754
_cell_length_b 8.7754
_cell_length_c 8.7754
_cell_angle_alpha 113.95
_cell_angle_beta 108.69
_cell_angle_gamma 105.88
loop_
_symmetry_equiv_pos_as_xyz
'x,y,z'
loop_
_atom_site_label
_atom_site_type_symbol
_atom_site_fract_x
_atom_site_fract_y
_atom_site_fract_z
Pm1 Pm 0.0383 0.2366 0.8017
Pm2 Pm 0.1853 0.2836 0.4689
Pm3 Pm 0.1853 0.7164 0.9018
Pm4 Pm 0.3208 0.0160 0.6952
Pm5 Pm 0.3208 0.6257 0.3048
Pm6 Pm 0.4349 0.2366 0.1983
Pm7 Pm 0.5651 0.7634 0.8017
Pm8 Pm 0.6792 0.3743 0.6952
Pm9 Pm 0.6792 0.9840 0.3048
Pm10 Pm 0.8147 0.2836 0.0982
Pm11 Pm 0.8147 0.7164 0.5311
Pm12 Pm 0.9617 0.7634 0.1983
Tl1 Tl 0.0000 0.0000 0.0000
Tl2 Tl 0.5000 0.5000 0.0000
Cu1 Cu 0.1170 0.6170 0.5000
Cu2 Cu 0.3541 0.0000 0.3541
Cu3 Cu 0.6459 0.0000 0.6459
Cu4 Cu 0.8830 0.3830 0.5000
```

***

Entry 8:
Structure and computed XRD peak list of TaBeRe2 (the GGA-PBE geometry in Alexandria; Cu Kα (weighted mean of Kα1 and Kα2)).
Neutral-atom scattering factors, no anomalous dispersion.

Top 8 peaks for 10 to 90 degrees two-theta, in order of rising 2θ:
d_spacing	I/Imax
4.880	33
4.279	27
3.217	33
2.240	100
2.217	42
2.140	46
2.120	78
1.540	41

Crystal structure
```
data_TaBeRe2
_chemical_formula_sum 'Ta1 Be1 Re2'
_symmetry_space_group_name_H-M 'P 1'
_symmetry_Int_Tables_number 1
_cell_length_a 2.8077
_cell_length_b 4.2791
_cell_length_c 4.9775
_cell_angle_alpha 90.00
_cell_angle_beta 101.38
_cell_angle_gamma 90.00
loop_
_symmetry_equiv_pos_as_xyz
'x,y,z'
loop_
_atom_site_label
_atom_site_type_symbol
_atom_site_fract_x
_atom_site_fract_y
_atom_site_fract_z
Ta1 Ta 0.0000 0.0000 0.0000
Be1 Be 0.5510 0.5000 0.2012
Re1 Re 0.1986 0.5000 0.6830
Re2 Re 0.5517 0.0000 0.4857
```

***

Entry 9:
Structure and computed XRD peak list of Sn3SeS2 (the GGA-PBE geometry in Alexandria; Cu Kα (weighted mean of Kα1 and Kα2)).
Neutral-atom scattering factors, no anomalous dispersion.

Top 8 peaks for 10 to 90 degrees two-theta, in order of rising 2θ:
d_spacing	I/Imax
3.423	18
3.407	17
2.957	100
2.099	12
2.091	49
2.085	12
1.711	13
1.479	12

Crystal structure
```
data_Sn3SeS2
_chemical_formula_sum 'Sn6 Se2 S4'
_symmetry_space_group_name_H-M 'P 1'
_symmetry_Int_Tables_number 1
_cell_length_a 7.2590
_cell_length_b 7.2590
_cell_length_c 7.2435
_cell_angle_alpha 99.60
_cell_angle_beta 99.60
_cell_angle_gamma 120.33
loop_
_symmetry_equiv_pos_as_xyz
'x,y,z'
loop_
_atom_site_label
_atom_site_type_symbol
_atom_site_fract_x
_atom_site_fract_y
_atom_site_fract_z
Sn1 Sn 0.0000 0.5000 0.5000
Sn2 Sn 0.1547 0.3285 0.0049
Sn3 Sn 0.3285 0.1547 0.5049
Sn4 Sn 0.5000 0.0000 0.0000
Sn5 Sn 0.6715 0.8453 0.4951
Sn6 Sn 0.8453 0.6715 0.9951
Se1 Se 0.4201 0.5799 0.7500
Se2 Se 0.5799 0.4201 0.2500
S1 S 0.0862 0.9138 0.7500
S2 S 0.2562 0.7438 0.2500
S3 S 0.7438 0.2562 0.7500
S4 S 0.9138 0.0862 0.2500
```

***

Entry 10:
Structure and computed XRD peak list of CsNa4Tl4 (the GGA-PBE geometry in Alexandria; Cu Kα (weighted mean of Kα1 and Kα2)).
Neutral-atom scattering factors, no anomalous dispersion.

Top 8 peaks for 10 to 90 degrees two-theta, in order of rising 2θ:
d_spacing	I/Imax
8.117	23
5.740	42
4.059	24
3.489	28
2.981	100
2.706	34
2.646	21
1.945	21

Crystal structure
```
data_CsNa4Tl4
_chemical_formula_sum 'Cs1 Na4 Tl4'
_symmetry_space_group_name_H-M 'P 1'
_symmetry_Int_Tables_number 1
_cell_length_a 8.4583
_cell_length_b 8.4583
_cell_length_c 8.4583
_cell_angle_alpha 94.53
_cell_angle_beta 94.53
_cell_angle_gamma 147.34
loop_
_symmetry_equiv_pos_as_xyz
'x,y,z'
loop_
_atom_site_label
_atom_site_type_symbol
_atom_site_fract_x
_atom_site_fract_y
_atom_site_fract_z
Cs1 Cs 0.0000 0.0000 0.0000
Na1 Na 0.0000 0.3237 0.3237
Na2 Na 0.0000 0.6763 0.6763
Na3 Na 0.3237 0.0000 0.3237
Na4 Na 0.6763 0.0000 0.6763
Tl1 Tl 0.3133 0.3133 0.6267
Tl2 Tl 0.3133 0.6867 0.0000
Tl3 Tl 0.6867 0.3133 0.0000
Tl4 Tl 0.6867 0.6867 0.3733
```

***

Entry 11:
Structure and computed XRD peak list of K3Na2ZnF9 (the GGA-PBE geometry in Alexandria; Cu Kα (weighted mean of Kα1 and Kα2)).
Neutral-atom scattering factors, no anomalous dispersion.

Top 8 peaks for 10 to 90 degrees two-theta, in order of rising 2θ:
d_spacing	I/Imax
4.275	31
3.048	65
2.998	56
2.454	29
2.137	100
1.740	25
1.524	26
1.499	26

Crystal structure
```
data_K3Na2ZnF9
_chemical_formula_sum 'K3 Na2 Zn1 F9'
_symmetry_space_group_name_H-M 'P 1'
_symmetry_Int_Tables_number 1
_cell_length_a 5.9956
_cell_length_b 5.9956
_cell_length_c 7.5307
_cell_angle_alpha 90.00
_cell_angle_beta 90.00
_cell_angle_gamma 120.00
loop_
_symmetry_equiv_pos_as_xyz
'x,y,z'
loop_
_atom_site_label
_atom_site_type_symbol
_atom_site_fract_x
_atom_site_fract_y
_atom_site_fract_z
K1 K 0.0000 0.0000 0.0000
K2 K 0.3333 0.6667 0.6839
K3 K 0.6667 0.3333 0.3161
Na1 Na 0.3333 0.6667 0.1842
Na2 Na 0.6667 0.3333 0.8158
Zn1 Zn 0.0000 0.0000 0.5000
F1 F 0.0000 0.5000 0.0000
F2 F 0.1539 0.3077 0.3497
F3 F 0.1539 0.8461 0.3497
F4 F 0.3077 0.1539 0.6503
F5 F 0.5000 0.0000 0.0000
F6 F 0.5000 0.5000 0.0000
F7 F 0.6923 0.8461 0.3497
F8 F 0.8461 0.1539 0.6503
F9 F 0.8461 0.6923 0.6503
```

***

Entry 12:
Structure and computed XRD peak list of Nd3Mg4Ag4 (the GGA-PBE geometry in Alexandria; Cu Kα (weighted mean of Kα1 and Kα2)).
Neutral-atom scattering factors, no anomalous dispersion.

Top 8 peaks for 10 to 90 degrees two-theta, in order of rising 2θ:
d_spacing	I/Imax
4.034	25
2.924	89
2.827	28
2.704	100
2.372	18
2.211	28
2.008	21
1.406	19

Crystal structure
```
data_Nd3Mg4Ag4
_chemical_formula_sum 'Nd3 Mg4 Ag4'
_symmetry_space_group_name_H-M 'P 1'
_symmetry_Int_Tables_number 1
_cell_length_a 8.8373
_cell_length_b 8.8373
_cell_length_c 8.8373
_cell_angle_alpha 151.02
_cell_angle_beta 125.69
_cell_angle_gamma 62.74
loop_
_symmetry_equiv_pos_as_xyz
'x,y,z'
loop_
_atom_site_label
_atom_site_type_symbol
_atom_site_fract_x
_atom_site_fract_y
_atom_site_fract_z
Nd1 Nd 0.0000 0.0000 0.0000
Nd2 Nd 0.3821 0.8821 0.5000
Nd3 Nd 0.6179 0.1179 0.5000
Mg1 Mg 0.0174 0.3255 0.6919
Mg2 Mg 0.3664 0.6745 0.6919
Mg3 Mg 0.6336 0.3255 0.3081
Mg4 Mg 0.9826 0.6745 0.3081
Ag1 Ag 0.2234 0.2234 0.0000
Ag2 Ag 0.3106 0.5000 0.8106
Ag3 Ag 0.6894 0.5000 0.1894
Ag4 Ag 0.7766 0.7766 0.0000
```